Entry 1:
Structure and simulated powder X-ray diffraction pattern of CaMg2Re (a cell relaxed with GGA-PBE; Cu Kα (weighted mean of Kα1 and Kα2)).
Neutral-atom scattering factors, no anomalous dispersion.

Crystal structure
Lattice parameters (Å, degrees): 5.4879 2.9177 5.5505 90.00 112.88 90.00
Space group P2/m (No. 10)
One atom of each set of equivalent atoms:
Ca1 0.0000 0.0000 0.0000
Mg1 0.0000 0.5000 0.5000
Mg2 0.5000 0.0000 0.5000
Re1 0.5000 0.5000 0.0000

Top 12 peaks for 5° ≤ 2θ ≤ 70°, in order of rising 2θ:
17.34 deg, I 100, (0 0 1); 17.54 deg, I 62, (1 0 0); 19.30 deg, I 50, (1 0 -1); 32.85 deg, I 21, (2 0 -1); 35.10 deg, I 45, (0 0 2); 35.48 deg, I 66, (2 0 0); 35.52 deg, I 34, (1 1 0); 36.47 deg, I 81, (1 1 -1); 39.18 deg, I 33, (2 0 -2); 42.89 deg, I 51, (1 1 1); 59.20 deg, I 19, (1 1 -3); 59.76 deg, I 19, (3 1 -1)

Entry 2:
Structure and simulated powder X-ray diffraction pattern of CaMg2Re (a cell relaxed with GGA-PBE; Cu Kα (weighted mean of Kα1 and Kα2)).
Neutral-atom scattering factors, no anomalous dispersion.

Crystal structure
Lattice parameters (Å, degrees): 3.7451 4.4741 9.8849 90.00 90.00 90.00
Space group Cmm2 (No. 35)
One atom of each set of equivalent atoms:
Ca1 0.0000 0.0000 0.0000
Mg1 0.0000 0.0000 0.4515
Mg2 0.0000 0.5000 0.7093
Re1 0.0000 0.5000 0.2396

Top 12 peaks for 5° ≤ 2θ ≤ 70°, in order of rising 2θ:
8.95 deg, I 100, (0 0 1); 17.95 deg, I 16, (0 0 2); 27.06 deg, I 6, (0 0 3); 31.14 deg, I 8, (1 1 0); 32.47 deg, I 17, (1 1 1); 36.18 deg, I 42, (1 1 2); 36.35 deg, I 9, (0 0 4); 40.32 deg, I 8, (0 2 0); 41.38 deg, I 6, (0 2 1); 41.72 deg, I 13, (1 1 3); 48.61 deg, I 10, (2 0 0); 65.29 deg, I 6, (1 1 6)

Entry 3:
Structure and simulated powder X-ray diffraction pattern of CaMg11Rh (a cell relaxed with GGA-PBE; Cu Kα (weighted mean of Kα1 and Kα2)).
Neutral-atom scattering factors, no anomalous dispersion.

Crystal structure
Lattice parameters (Å, degrees): 5.7057 14.4920 7.6935 90.00 111.48 90.00
Space group C2/m (No. 12)
One atom of each set of equivalent atoms:
Ca1 0.0000 0.0000 0.0000
Mg1 0.0000 0.0000 0.5000
Mg2 0.0927 0.3977 0.2226
Mg3 0.1968 0.1662 0.3634
Mg4 0.2500 0.2500 0.0000
Rh1 0.0000 0.5000 0.5000

Top 12 peaks for 5° ≤ 2θ ≤ 70°, in order of rising 2θ:
12.21 deg, I 44, (0 2 0); 12.36 deg, I 31, (0 0 1); 17.41 deg, I 41, (0 2 1); 17.82 deg, I 61, (1 1 -1); 24.92 deg, I 29, (0 0 2); 30.60 deg, I 43, (1 3 1); 35.27 deg, I 100, (0 4 2); 35.69 deg, I 36, (1 1 -3); 36.03 deg, I 48, (2 2 0); 36.14 deg, I 38, (2 2 -2); 39.78 deg, I 31, (0 2 3); 40.26 deg, I 46, (2 4 -1)

Entry 4:
Structure and simulated powder X-ray diffraction pattern of CaMgTlRh (a cell relaxed with GGA-PBE; Cu Kα (weighted mean of Kα1 and Kα2)).
Neutral-atom scattering factors, no anomalous dispersion.

Crystal structure
Lattice parameters (Å, degrees): 6.9913 6.9913 6.9913 90.00 90.00 90.00
Space group F-43m (No. 216)
One atom of each set of equivalent atoms:
Ca1 0.0000 0.0000 0.0000
Mg1 0.0000 0.0000 0.5000
Tl1 0.2500 0.2500 0.2500
Rh1 0.2500 0.2500 0.7500

Top 10 peaks for 5° ≤ 2θ ≤ 70°, in order of rising 2θ:
22.02 deg, I 15, (1 1 1); 25.48 deg, I 50, (2 0 0); 36.35 deg, I 100, (2 2 0); 42.90 deg, I 8, (3 1 1); 44.91 deg, I 15, (2 2 2); 52.35 deg, I 17, (4 0 0); 57.46 deg, I 4, (3 3 1); 59.09 deg, I 21, (4 2 0); 65.40 deg, I 35, (4 2 2); 69.92 deg, I 3, (5 1 1)

Entry 5:
Structure and simulated powder X-ray diffraction pattern of CaMgSi2S6 (a cell relaxed with GGA-PBE; Cu Kα (weighted mean of Kα1 and Kα2)).
Neutral-atom scattering factors, no anomalous dispersion.

Crystal structure
Lattice parameters (Å, degrees): 12.1103 11.9679 6.2390 90.00 101.71 90.00
Space group C2/c (No. 15)
One atom of each set of equivalent atoms:
Ca1 0.0000 0.1036 0.2500
Mg1 0.0000 0.2893 0.7500
Si1 0.2023 0.4167 0.2720
S1 0.1197 0.0966 0.6790
S2 0.1273 0.2742 0.1135
S3 0.1450 0.4318 0.5861

Top 12 peaks for 5° ≤ 2θ ≤ 70°, in order of rising 2θ:
23.71 deg, I 71, (3 1 0); 23.87 deg, I 49, (2 2 -1); 26.92 deg, I 42, (1 3 -1); 27.40 deg, I 41, (2 2 1); 28.56 deg, I 67, (1 3 1); 30.10 deg, I 58, (2 0 -2); 33.14 deg, I 98, (3 3 -1); 34.27 deg, I 34, (4 2 -1); 35.69 deg, I 49, (2 0 2); 45.47 deg, I 35, (0 6 0); 49.44 deg, I 46, (1 3 -3); 49.56 deg, I 100, (5 3 1)

Entry 6:
Structure and simulated powder X-ray diffraction pattern of CaMgSb2 (a cell relaxed with GGA-PBE; Cu Kα (weighted mean of Kα1 and Kα2)).
Neutral-atom scattering factors, no anomalous dispersion.

Crystal structure
Lattice parameters (Å, degrees): 4.4334 4.4334 11.4076 90.00 90.00 90.00
Space group P4/nmm (No. 129, origin choice 2)
One atom of each set of equivalent atoms:
Ca1 0.2500 0.2500 0.2182
Mg1 0.2500 0.7500 0.5000
Sb1 0.2500 0.2500 0.6648
Sb2 0.2500 0.7500 0.0000

Top 12 peaks for 5° ≤ 2θ ≤ 70°, in order of rising 2θ:
7.75 deg, I 19, (0 0 1); 21.50 deg, I 18, (1 0 1); 23.39 deg, I 36, (0 0 3); 25.45 deg, I 48, (1 0 2); 29.55 deg, I 48, (1 1 1); 32.59 deg, I 100, (1 1 2); 37.50 deg, I 20, (1 0 4); 40.70 deg, I 43, (2 0 0); 42.87 deg, I 26, (1 1 4); 47.48 deg, I 22, (2 0 3); 48.62 deg, I 16, (2 1 2); 68.98 deg, I 21, (3 1 2)

Entry 7:
Structure and simulated powder X-ray diffraction pattern of CaMg2Sb2 (a cell relaxed with GGA-PBE; Cu Kα (weighted mean of Kα1 and Kα2)).
Neutral-atom scattering factors, no anomalous dispersion.

Crystal structure
Lattice parameters (Å, degrees): 4.6908 4.6908 7.5845 90.00 90.00 120.00
Space group P-3m1 (No. 164)
One atom of each set of equivalent atoms:
Ca1 0.0000 0.0000 0.0000
Mg1 0.3333 0.6667 0.6311
Sb1 0.3333 0.6667 0.2438

Top 12 peaks for 5° ≤ 2θ ≤ 70°, in order of rising 2θ:
21.88 deg, I 22, (1 0 0); 23.46 deg, I 23, (0 0 2); 24.86 deg, I 100, (0 1 1); 32.29 deg, I 46, (0 1 2); 38.38 deg, I 52, (1 1 0); 42.10 deg, I 41, (1 0 3); 45.47 deg, I 24, (1 1 2); 46.27 deg, I 18, (2 0 1); 51.01 deg, I 12, (2 0 2); 58.27 deg, I 15, (0 2 3); 61.63 deg, I 15, (1 2 1); 65.60 deg, I 11, (1 2 2)

Number 2 is which compound? CaMg2Re

Repeat the second record exactly.
Structure and simulated powder X-ray diffraction pattern of CaMg2Re (a cell relaxed with GGA-PBE; Cu Kα (weighted mean of Kα1 and Kα2)).
Neutral-atom scattering factors, no anomalous dispersion.

Crystal structure
Lattice parameters (Å, degrees): 3.7451 4.4741 9.8849 90.00 90.00 90.00
Space group Cmm2 (No. 35)
One atom of each set of equivalent atoms:
Ca1 0.0000 0.0000 0.0000
Mg1 0.0000 0.0000 0.4515
Mg2 0.0000 0.5000 0.7093
Re1 0.0000 0.5000 0.2396

Top 12 peaks for 5° ≤ 2θ ≤ 70°, in order of rising 2θ:
8.95 deg, I 100, (0 0 1); 17.95 deg, I 16, (0 0 2); 27.06 deg, I 6, (0 0 3); 31.14 deg, I 8, (1 1 0); 32.47 deg, I 17, (1 1 1); 36.18 deg, I 42, (1 1 2); 36.35 deg, I 9, (0 0 4); 40.32 deg, I 8, (0 2 0); 41.38 deg, I 6, (0 2 1); 41.72 deg, I 13, (1 1 3); 48.61 deg, I 10, (2 0 0); 65.29 deg, I 6, (1 1 6)